Starting from a cell relaxed with GGA-PBE, the XRD peak list of FeReRh was computed for copper Kα.
Kinematic intensities with the Lorentz-polarization factor, no thermal factor.

Top 10 peaks for 10° ≤ 2θ ≤ 80°, low angle first:
- hkl 0 0 2, 2θ = 15.9°, I 221
- hkl 0 0 4, 2θ = 32.1°, I 65
- hkl 1 0 1, 2θ = 34.3°, I 177
- hkl 1 0 3, 2θ = 41.4°, I 1000
- hkl 1 1 0, 2θ = 47.8°, I 331
- hkl 0 0 6, 2θ = 49.0°, I 150
- hkl 1 1 2, 2θ = 50.7°, I 51
- hkl 1 1 4, 2θ = 58.7°, I 50
- hkl 2 0 0, 2θ = 69.9°, I 104
- hkl 1 1 6, 2θ = 70.9°, I 196

Cell and atoms:
Lattice parameters (Å, degrees): 2.6907 2.6907 11.1537 90.00 90.00 90.00
Space group I4mm (No. 107)
Symmetry-distinct sites (fractional):
1 Fe 0.0000 0.0000 0.0000 (multiplicity 2)
2 Re 0.0000 0.0000 0.3410 (multiplicity 2)
3 Rh 0.0000 0.0000 0.6659 (multiplicity 2)


Starting from a cell relaxed with GGA-PBE, the XRD peak list of FeRe2Rh6 was computed for copper Kα.
Kinematic intensities with the Lorentz-polarization factor, no thermal factor.

Top 10 peaks for 10° ≤ 2θ ≤ 80°, low angle first:
- hkl 0 0 2, 2θ = 15.4°, I 41
- hkl 0 2 0, 2θ = 15.5°, I 51
- hkl 0 2 2, 2θ = 21.9°, I 40
- hkl 1 1 1, 2θ = 25.6°, I 42
- hkl 1 3 1, 2θ = 34.0°, I 22
- hkl 1 3 3, 2θ = 40.8°, I 1000
- hkl 2 0 0, 2θ = 47.3°, I 327
- hkl 0 6 0, 2θ = 47.7°, I 155
- hkl 2 0 6, 2θ = 69.1°, I 103
- hkl 2 6 0, 2θ = 69.4°, I 198

Cell and atoms:
Lattice parameters (Å, degrees): 3.8466 11.4353 11.5418 90.00 90.00 90.00
Space group Fmmm (No. 69)
Symmetry-distinct sites (fractional):
1 Fe 0.0000 0.0000 0.0000 (multiplicity 4)
2 Re 0.0000 0.0000 0.3307 (multiplicity 8)
3 Rh 0.0000 0.1610 0.1657 (multiplicity 16)
4 Rh 0.0000 0.1607 0.5000 (multiplicity 8)


Starting from a cell relaxed with GGA-PBE, the XRD peak list of Fe8Re3Rh was computed for copper Kα.
Kinematic intensities with the Lorentz-polarization factor, no thermal factor.

Top 10 peaks for 10° ≤ 2θ ≤ 80°, low angle first:
- hkl 1 0 0, 2θ = 22.0°, I 185
- hkl 1 0 1, 2θ = 25.0°, I 172
- hkl 1 1 0, 2θ = 38.6°, I 672
- hkl 1 0 3, 2θ = 42.1°, I 1000
- hkl 2 0 0, 2θ = 44.9°, I 157
- hkl 1 1 2, 2θ = 45.6°, I 922
- hkl 0 2 1, 2θ = 46.5°, I 510
- hkl 2 1 3, 2θ = 72.2°, I 380
- hkl 0 0 6, 2θ = 74.8°, I 243
- hkl 2 0 5, 2θ = 78.7°, I 248

Cell and atoms:
Lattice parameters (Å, degrees): 4.6629 4.6629 7.6123 90.00 90.00 120.00
Space group P3m1 (No. 156)
Symmetry-distinct sites (fractional):
1 Fe 0.0000 0.0000 0.0000 (multiplicity 1)
2 Fe 0.0000 0.0000 0.4951 (multiplicity 1)
3 Fe 0.1697 0.3394 0.7467 (multiplicity 3)
4 Fe 0.3409 0.1705 0.2460 (multiplicity 3)
5 Re 0.3333 0.6667 0.0594 (multiplicity 1)
6 Re 0.3333 0.6667 0.4280 (multiplicity 1)
7 Re 0.6667 0.3333 0.9344 (multiplicity 1)
8 Rh 0.6667 0.3333 0.5580 (multiplicity 1)


Starting from a cell relaxed with GGA-PBE, the XRD peak list of FeReRu2 was computed for copper Kα.
Kinematic intensities with the Lorentz-polarization factor, no thermal factor.

Top 10 peaks for 10° ≤ 2θ ≤ 80°, low angle first:
- hkl 0 0 1, 2θ = 16.5°, I 72
- hkl 0 1 0, 2θ = 23.7°, I 81
- hkl 0 1 1, 2θ = 29.0°, I 75
- hkl 1 0 0, 2θ = 33.4°, I 67
- hkl 1 0 1, 2θ = 37.4°, I 39
- hkl 1 1 0, 2θ = 41.3°, I 1000
- hkl 1 0 2, 2θ = 47.9°, I 322
- hkl 0 2 0, 2θ = 48.5°, I 158
- hkl 2 0 0, 2θ = 70.1°, I 99
- hkl 1 2 2, 2θ = 70.6°, I 198

Cell and atoms:
Lattice parameters (Å, degrees): 2.6875 3.7515 5.3697 90.00 90.00 90.00
Space group Pmm2 (No. 25)
Symmetry-distinct sites (fractional):
1 Fe 0.0000 0.0000 0.0000 (multiplicity 1)
2 Re 0.5000 0.5000 0.2437 (multiplicity 1)
3 Ru 0.0000 0.0000 0.5080 (multiplicity 1)
4 Ru 0.5000 0.5000 0.7722 (multiplicity 1)


Starting from a cell relaxed with GGA-PBE, the XRD peak list of FeReSe2 was computed for copper Kα.
Kinematic intensities with the Lorentz-polarization factor, no thermal factor.

Top 10 peaks for 10° ≤ 2θ ≤ 80°, low angle first:
- hkl 0 0 1, 2θ = 14.1°, I 1000
- hkl 1 0 0, 2θ = 23.9°, I 155
- hkl 1 0 1, 2θ = 27.8°, I 579
- hkl 1 1 1, 2θ = 37.0°, I 410
- hkl 1 1 -2, 2θ = 44.8°, I 312
- hkl 1 1 2, 2θ = 44.9°, I 309
- hkl 2 0 0, 2θ = 48.9°, I 241
- hkl 0 1 3, 2θ = 49.9°, I 88
- hkl 2 0 -1, 2θ = 51.1°, I 113
- hkl 1 2 1, 2θ = 57.2°, I 117

Cell and atoms:
Lattice parameters (Å, degrees): 3.7226 3.7269 6.2904 90.00 90.21 90.00
Space group Pm (No. 6)
Symmetry-distinct sites (fractional):
1 Fe 0.0000 0.0000 0.0000 (multiplicity 1)
2 Re 0.5000 0.5000 0.0007 (multiplicity 1)
3 Se 0.5016 0.0000 0.2555 (multiplicity 1)
4 Se 0.9984 0.5000 0.7456 (multiplicity 1)


Starting from a cell relaxed with GGA-PBE, the XRD peak list of FeReSe was computed for copper Kα.
Kinematic intensities with the Lorentz-polarization factor, no thermal factor.

Top 10 peaks for 10° ≤ 2θ ≤ 80°, low angle first:
- hkl 0 0 1, 2θ = 14.9°, I 351
- hkl 0 0 2, 2θ = 30.1°, I 86
- hkl 1 0 0, 2θ = 35.7°, I 143
- hkl 1 0 1, 2θ = 38.9°, I 1000
- hkl 0 0 3, 2θ = 45.8°, I 181
- hkl 0 1 2, 2θ = 47.4°, I 555
- hkl 1 0 3, 2θ = 59.4°, I 74
- hkl 1 1 0, 2θ = 64.2°, I 198
- hkl 1 0 4, 2θ = 74.1°, I 152
- hkl 0 2 1, 2θ = 77.7°, I 132

Cell and atoms:
Lattice parameters (Å, degrees): 2.9024 2.9024 5.9451 90.00 90.00 120.00
Space group P3m1 (No. 156)
Symmetry-distinct sites (fractional):
1 Fe 0.0000 0.0000 0.0000 (multiplicity 1)
2 Re 0.6667 0.3333 0.3256 (multiplicity 1)
3 Se 0.3333 0.6667 0.6722 (multiplicity 1)


Starting from a cell relaxed with GGA-PBE, the XRD peak list of FeRe2Se5 was computed for copper Kα.
Kinematic intensities with the Lorentz-polarization factor, no thermal factor.

Top 10 peaks for 10° ≤ 2θ ≤ 80°, low angle first:
- hkl 0 1 -1, 2θ = 16.1°, I 454
- hkl 0 1 0, 2θ = 16.6°, I 1000
- hkl 1 0 -1, 2θ = 20.5°, I 500
- hkl 1 -1 1, 2θ = 22.1°, I 500
- hkl 1 1 0, 2θ = 28.6°, I 400
- hkl 1 -2 2, 2θ = 34.7°, I 269
- hkl -1 1 2, 2θ = 40.9°, I 289
- hkl 0 1 2, 2θ = 43.4°, I 255
- hkl 2 -2 2, 2θ = 45.0°, I 271
- hkl 2 -1 2, 2θ = 46.8°, I 270

Cell and atoms:
Lattice parameters (Å, degrees): 5.4768 6.4969 6.5338 117.39 94.11 107.79
Space group P1 (No. 1)
Symmetry-distinct sites (fractional):
1 Fe 0.0000 0.0000 0.0000 (multiplicity 1)
2 Re 0.0673 0.0790 0.4424 (multiplicity 1)
3 Re 0.5144 0.8776 0.8941 (multiplicity 1)
4 Se 0.1256 0.8244 0.6358 (multiplicity 1)
5 Se 0.1948 0.7792 0.1246 (multiplicity 1)
6 Se 0.4623 0.4428 0.6570 (multiplicity 1)
7 Se 0.8214 0.2518 0.2906 (multiplicity 1)
8 Se 0.8239 0.1575 0.7711 (multiplicity 1)


Starting from a cell relaxed with GGA-PBE, the XRD peak list of Fe6ReSi was computed for copper Kα.
Kinematic intensities with the Lorentz-polarization factor, no thermal factor.

Top 10 peaks for 10° ≤ 2θ ≤ 80°, low angle first:
- hkl 1 1 0, 2θ = 15.2°, I 130
- hkl 0 2 1, 2θ = 19.6°, I 67
- hkl 1 1 2, 2θ = 23.3°, I 87
- hkl 0 2 2, 2θ = 24.9°, I 61
- hkl 1 3 2, 2θ = 34.3°, I 52
- hkl 2 2 2, 2θ = 35.6°, I 50
- hkl 2 0 4, 2θ = 43.9°, I 1000
- hkl 0 4 4, 2θ = 51.1°, I 314
- hkl 4 0 0, 2θ = 51.4°, I 154
- hkl 4 4 4, 2θ = 75.4°, I 185

Cell and atoms:
Lattice parameters (Å, degrees): 7.1098 10.1276 10.1109 90.00 90.00 90.00
Space group Cmmm (No. 65)
Symmetry-distinct sites (fractional):
1 Fe 0.0000 0.0000 0.0000 (multiplicity 2)
2 Fe 0.0000 0.0000 0.5000 (multiplicity 2)
3 Fe 0.0000 0.2496 0.2490 (multiplicity 8)
4 Fe 0.0000 0.5000 0.0000 (multiplicity 2)
5 Fe 0.0000 0.5000 0.5000 (multiplicity 2)
6 Fe 0.2438 0.1254 0.1240 (multiplicity 16)
7 Fe 0.2488 0.1246 0.3744 (multiplicity 16)
8 Re 0.0000 0.2566 0.5000 (multiplicity 4)
9 Re 0.0000 0.5000 0.2528 (multiplicity 4)
10 Si 0.0000 0.0000 0.2561 (multiplicity 4)
11 Si 0.0000 0.2566 0.0000 (multiplicity 4)


Starting from a cell relaxed with GGA-PBE, the XRD peak list of SmFe10Re2 was computed for copper Kα.
Kinematic intensities with the Lorentz-polarization factor, no thermal factor.

Top 10 peaks for 10° ≤ 2θ ≤ 80°, low angle first:
- hkl 1 1 0, 2θ = 21.6°, I 466
- hkl 0 1 3, 2θ = 32.7°, I 279
- hkl 1 0 3, 2θ = 36.5°, I 371
- hkl 1 3 0, 2θ = 37.0°, I 430
- hkl 2 0 0, 2θ = 38.4°, I 248
- hkl 0 4 0, 2θ = 42.4°, I 1000
- hkl 1 3 2, 2θ = 42.7°, I 225
- hkl 2 2 0, 2θ = 44.1°, I 448
- hkl 1 1 4, 2θ = 47.4°, I 202
- hkl 1 3 6, 2θ = 76.6°, I 219

Cell and atoms:
Lattice parameters (Å, degrees): 4.6905 8.5090 8.6839 90.00 90.00 90.00
Space group Immm (No. 71)
Symmetry-distinct sites (fractional):
1 Sm 0.0000 0.0000 0.0000 (multiplicity 2)
2 Fe 0.0000 0.2782 0.5000 (multiplicity 4)
3 Fe 0.0000 0.3591 0.0000 (multiplicity 4)
4 Fe 0.0000 0.5000 0.2669 (multiplicity 4)
5 Fe 0.2500 0.2500 0.2500 (multiplicity 8)
6 Re 0.0000 0.0000 0.3587 (multiplicity 4)


Starting from a cell relaxed with GGA-PBE, the XRD peak list of Tb2FeRe3 was computed for copper Kα.
Kinematic intensities with the Lorentz-polarization factor, no thermal factor.

Top 10 peaks for 10° ≤ 2θ ≤ 80°, low angle first:
- hkl 0 0 3, 2θ = 19.6°, I 275
- hkl 1 0 4, 2θ = 32.8°, I 632
- hkl 0 1 5, 2θ = 38.5°, I 464
- hkl 1 1 3, 2θ = 39.4°, I 864
- hkl 0 2 1, 2θ = 39.8°, I 1000
- hkl 0 0 6, 2θ = 39.9°, I 237
- hkl 2 0 2, 2θ = 41.5°, I 648
- hkl 0 2 7, 2θ = 62.7°, I 265
- hkl 2 0 8, 2θ = 68.8°, I 332
- hkl 2 2 0, 2θ = 71.0°, I 304

Cell and atoms:
Lattice parameters (Å, degrees): 5.3099 5.3099 13.5582 90.00 90.00 120.00
Space group R-3m (No. 166, hexagonal axes)
Symmetry-distinct sites (fractional):
1 Tb 0.0000 0.0000 0.1247 (multiplicity 6)
2 Fe 0.0000 0.0000 0.5000 (multiplicity 3)
3 Re 0.0000 0.5000 0.0000 (multiplicity 9)


Starting from a cell relaxed with GGA-PBE, the XRD peak list of Fe2Re4Tc3 was computed for copper Kα.
Kinematic intensities with the Lorentz-polarization factor, no thermal factor.

Top 10 peaks for 10° ≤ 2θ ≤ 80°, low angle first:
- hkl 2 2 1, 2θ = 32.7°, I 201
- hkl 3 1 -1, 2θ = 36.7°, I 172
- hkl 3 1 1, 2θ = 37.2°, I 347
- hkl 0 4 0, 2θ = 41.0°, I 495
- hkl 3 1 -2, 2θ = 42.7°, I 336
- hkl 0 2 3, 2θ = 43.2°, I 1000
- hkl 3 1 2, 2θ = 43.7°, I 212
- hkl 3 3 0, 2θ = 45.6°, I 315
- hkl 3 3 1, 2θ = 47.7°, I 182
- hkl 3 5 -3, 2θ = 75.4°, I 174

Cell and atoms:
Lattice parameters (Å, degrees): 8.1179 8.8004 7.1381 90.00 91.31 90.00
Space group C2/c (No. 15)
Symmetry-distinct sites (fractional):
1 Fe 0.1660 0.1375 0.4359 (multiplicity 8)
2 Re 0.0206 0.3599 0.5725 (multiplicity 8)
3 Re 0.1632 0.1351 0.0795 (multiplicity 8)
4 Tc 0.0000 0.0851 0.7500 (multiplicity 4)
5 Tc 0.1730 0.4074 0.2471 (multiplicity 8)


Starting from a cell relaxed with GGA-PBE, the XRD peak list of FeReTc3 was computed for copper Kα.
Kinematic intensities with the Lorentz-polarization factor, no thermal factor.

Top 10 peaks for 10° ≤ 2θ ≤ 80°, low angle first:
- hkl 0 1 1, 2θ = 16.9°, I 111
- hkl 0 2 0, 2θ = 21.8°, I 174
- hkl 0 2 1, 2θ = 25.4°, I 395
- hkl 0 0 2, 2θ = 25.9°, I 135
- hkl 1 2 1, 2θ = 42.0°, I 1000
- hkl 1 0 2, 2θ = 42.3°, I 545
- hkl 0 4 0, 2θ = 44.5°, I 349
- hkl 0 2 3, 2θ = 45.3°, I 556
- hkl 0 3 3, 2θ = 52.1°, I 107
- hkl 1 4 2, 2θ = 63.1°, I 271

Cell and atoms:
Lattice parameters (Å, degrees): 2.7218 8.1500 6.8897 90.00 90.00 90.00
Space group Pmmn (No. 59, origin choice 2)
Symmetry-distinct sites (fractional):
1 Fe 0.2500 0.2500 0.0100 (multiplicity 2)
2 Re 0.2500 0.2500 0.3680 (multiplicity 2)
3 Tc 0.2500 0.5170 0.8237 (multiplicity 4)
4 Tc 0.2500 0.7500 0.3043 (multiplicity 2)